No. 1
Structure and computed X-ray powder pattern of NdYTlCu2 (a cell relaxed with GGA-PBE; Cu Kα (weighted mean of Kα1 and Kα2)).
Neutral-atom scattering factors, no anomalous dispersion.

Structure:
Cell: 3.6544 4.3106 14.1727 Å, 90.00 90.00 90.00°
Space group Amm2 (No. 38)
Symmetry-distinct sites (fractional):
Nd 0.0000 0.0000 0.0000 x2
Y 0.0000 0.0000 0.2676 x2
Tl 0.5000 0.0000 0.6354 x2
Cu 0.5000 0.0000 0.4282 x2
Cu 0.5000 0.0000 0.8347 x2

Most intense lines, 10 to 90 degrees two-theta, low angle first:
- 2θ 28.02, rel. 39
- 2θ 32.74, rel. 100
- 2θ 35.28, rel. 60
- 2θ 37.99, rel. 43
- 2θ 41.92, rel. 26
- 2θ 45.66, rel. 16
- 2θ 49.91, rel. 16
- 2θ 55.91, rel. 32
- 2θ 64.41, rel. 22
- 2θ 67.16, rel. 13


No. 2
Structure and computed X-ray powder pattern of Nd2Zn5Cu5 (a cell relaxed with GGA-PBE; Cu Kα (weighted mean of Kα1 and Kα2)).
Neutral-atom scattering factors, no anomalous dispersion.

Structure:
Cell: 4.1951 5.2375 8.9950 Å, 90.00 90.00 90.00°
Space group Pmmm (No. 47)
Symmetry-distinct sites (fractional):
Nd 0.0000 0.0000 0.0000 x1
Nd 0.0000 0.5000 0.5000 x1
Zn 0.5000 0.0000 0.5000 x1
Zn 0.5000 0.2513 0.2455 x4
Cu 0.0000 0.0000 0.3343 x2
Cu 0.0000 0.5000 0.1623 x2
Cu 0.5000 0.5000 0.0000 x1

Most intense lines, 10 to 90 degrees two-theta, low angle first:
- 2θ 29.05, rel. 65
- 2θ 34.47, rel. 29
- 2θ 39.83, rel. 37
- 2θ 40.10, rel. 17
- 2θ 40.61, rel. 51
- 2θ 40.81, rel. 100
- 2θ 43.13, rel. 42
- 2θ 60.15, rel. 21
- 2θ 65.78, rel. 23
- 2θ 88.42, rel. 19